Entry 1:
Simulated powder X-ray diffraction pattern
Compound: ZrB4Pb
Radiation: Cu Kα (weighted mean of Kα1 and Kα2)
Structure: a crystal structure in OQMD, relaxed with PBE
Kinematic intensities with the Lorentz-polarization factor, no thermal factor.

Structural model:
a b c (Å): 3.1966 3.1966 8.1409
angles (deg): 90.00 90.00 120.00
Space group P6/mmm (No. 191)
Asymmetric unit:
Zr 0.0000 0.0000 0.0000 (multiplicity 1)
B 0.3333 0.6667 0.2127 (multiplicity 4)
Pb 0.0000 0.0000 0.5000 (multiplicity 1)

Largest 10 diffraction maxima, by angle, 2θ from 10° to 90°:
- 2θ = 10.87°, d 8.141, I 31.8, (0 0 1)
- 2θ = 21.83°, d 4.070, I 53.4, (0 0 2)
- 2θ = 32.34°, d 2.768, I 69.1, (1 0 0)
- 2θ = 34.21°, d 2.621, I 20.0, (1 0 1)
- 2θ = 39.36°, d 2.289, I 100.0, (1 0 2)
- 2θ = 56.09°, d 1.640, I 31.1, (1 0 4)
- 2θ = 57.68°, d 1.598, I 17.8, (1 1 0)
- 2θ = 62.42°, d 1.488, I 20.3, (1 1 2)
- 2θ = 72.07°, d 1.310, I 16.9, (2 0 2)
- 2θ = 75.66°, d 1.257, I 15.2, (1 1 4)

***

Entry 2:
Simulated powder X-ray diffraction pattern
Compound: LaSiNiSn
Radiation: Cu Kα (weighted mean of Kα1 and Kα2)
Structure: a crystal structure in OQMD, relaxed with PBE
Kinematic intensities with the Lorentz-polarization factor, no thermal factor.

Structural model:
a b c (Å): 4.308 17.711 4.364
angles (deg): 90.00 90.00 90.00
Space group Cmcm (No. 63)
Asymmetric unit:
La 0.000 0.121 0.250 (multiplicity 4)
Si 0.000 0.251 0.750 (multiplicity 4)
Ni 0.000 0.306 0.250 (multiplicity 4)
Sn 0.000 0.450 0.250 (multiplicity 4)

Largest 10 diffraction maxima, by angle, 2θ from 10° to 90°:
- 2θ = 25.60°, d 3.480, I 25.4, (1 3 0)
- 2θ = 29.57°, d 3.021, I 90.5, (1 1 1)
- 2θ = 32.73°, d 2.736, I 39.3, (1 5 0)
- 2θ = 32.92°, d 2.721, I 100.0, (1 3 1)
- 2θ = 36.76°, d 2.445, I 88.8, (0 6 1)
- 2θ = 41.38°, d 2.182, I 66.4, (0 0 2)
- 2θ = 41.94°, d 2.154, I 40.4, (2 0 0)
- 2θ = 51.02°, d 1.790, I 20.1, (1 9 0)
- 2θ = 56.98°, d 1.616, I 49.7, (2 6 1)
- 2θ = 60.38°, d 1.533, I 27.3, (2 0 2)